Computed PXRD pattern of Li2Ni3SbO8 for Cu Kα (λ = 1.5418 Å), from a GGA+U-relaxed structure.

The 10 most intense peaks (2θ from 15° to 90°), low angle first:
h k l, 2theta, d/Å, I/Imax
0 1 -1, 18.42, 4.816, 100
1 -1 0, 18.52, 4.792, 50
0 1 1, 34.61, 2.591, 23
1 1 -2, 35.11, 2.556, 18
0 0 2, 36.31, 2.474, 25
0 2 -2, 37.34, 2.408, 16
0 2 0, 42.40, 2.132, 28
2 0 -2, 42.57, 2.124, 27
2 -2 2, 44.44, 2.039, 24
2 2 -2, 62.24, 1.492, 16

Atomic structure:
abc: 5.818 5.832 5.963
angles: 118.02 92.34 118.36
Space group P-1 (No. 2)
Asymmetric unit:
Li  0.125  0.259  0.383 x2
Ni  0.000  0.500  0.000 x1
Ni  0.500  0.000  0.000 x1
Ni  0.500  0.500  0.000 x1
Sb  0.500  0.000  0.500 x1
O  0.258  0.524  0.238 x2
O  0.259  0.995  0.255 x2
O  0.268  0.543  0.811 x2
O  0.284  0.016  0.760 x2


Computed PXRD pattern of Li2Ti2MnNiO8 for Cu Kα (λ = 1.5418 Å), from a GGA+U-relaxed structure.

The 10 most intense peaks (2θ from 15° to 90°), low angle first:
h k l, 2theta, d/Å, I/Imax
0 0 1, 18.12, 4.895, 39
1 1 0, 18.30, 4.849, 100
2 0 -1, 18.42, 4.817, 34
1 1 -2, 35.21, 2.549, 22
3 1 0, 35.51, 2.528, 43
2 2 -2, 42.96, 2.105, 65
4 0 0, 43.23, 2.093, 32
3 3 -2, 56.94, 1.617, 13
2 2 2, 62.16, 1.493, 19
6 2 -2, 63.00, 1.475, 20

Atomic structure:
abc: 10.196 5.949 5.962
angles: 90.00 124.81 90.00
Space group C2/m (No. 12)
Asymmetric unit:
Li  0.124  0.000  0.362 x4
Ti  0.250  0.250  0.000 x4
Mn  0.000  0.500  0.000 x2
Ni  0.000  0.500  0.500 x2
O  0.015  0.275  0.781 x8
O  0.236  0.500  0.216 x4
O  0.248  0.500  0.784 x4


Computed PXRD pattern of Rb3Mn3P3O10F7 for Cu Kα (λ = 1.5418 Å), from a GGA+U-relaxed structure.

The 10 most intense peaks (2θ from 15° to 90°), low angle first:
h k l, 2theta, d/Å, I/Imax
3 1 1, 25.28, 3.523, 100
3 1 -3, 25.46, 3.498, 38
2 2 1, 26.36, 3.382, 23
2 2 -3, 29.47, 3.031, 15
1 3 0, 30.45, 2.936, 11
5 1 -2, 30.75, 2.907, 12
4 2 -2, 30.99, 2.886, 11
0 0 4, 31.57, 2.834, 20
3 3 -1, 34.60, 2.593, 20
3 1 3, 37.48, 2.399, 14

Atomic structure:
abc: 15.441 9.004 12.416
angles: 90.00 114.07 90.00
Space group Cc (No. 9)
Asymmetric unit:
Rb  0.000  0.186  0.000 x4
Rb  0.201  0.217  0.503 x4
Rb  0.309  0.285  0.011 x4
Mn  0.081  0.171  0.732 x4
Mn  0.204  0.456  0.231 x4
Mn  0.458  0.039  0.739 x4
P  0.015  0.421  0.533 x4
P  0.243  0.081  0.219 x4
P  0.408  0.416  0.714 x4
O  0.030  0.256  0.574 x4
O  0.111  0.495  0.072 x4
O  0.162  0.032  0.680 x4
O  0.207  0.239  0.181 x4
O  0.309  0.478  0.678 x4
O  0.322  0.036  0.183 x4
O  0.409  0.255  0.678 x4
O  0.447  0.000  0.079 x4
O  0.466  0.078  0.898 x4
O  0.470  0.484  0.176 x4
F  0.006  0.313  0.781 x4
F  0.089  0.400  0.283 x4
F  0.135  0.099  0.885 x4
F  0.189  0.337  0.776 x4
F  0.288  0.082  0.360 x4
F  0.290  0.419  0.385 x4
F  0.456  0.418  0.856 x4


Computed PXRD pattern of LiTiMnO4 for Cu Kα (λ = 1.5418 Å), from a GGA+U-relaxed structure.

The 10 most intense peaks (2θ from 15° to 90°), low angle first:
h k l, 2theta, d/Å, I/Imax
1 1 0, 17.98, 4.933, 90
2 0 -1, 18.23, 4.867, 100
0 2 1, 34.40, 2.607, 39
1 1 -2, 34.80, 2.578, 25
4 0 -1, 36.05, 2.491, 15
2 2 -2, 41.82, 2.160, 79
4 0 0, 44.16, 2.051, 32
1 3 -2, 55.13, 1.666, 13
4 2 -3, 55.59, 1.653, 13
6 2 -2, 62.45, 1.487, 43

Atomic structure:
abc: 10.187 6.174 6.047
angles: 90.00 126.37 90.00
Space group C2/m (No. 12)
Asymmetric unit:
Li  0.125  0.000  0.375 x4
Ti  0.000  0.500  0.000 x2
Ti  0.000  0.500  0.500 x2
Mn  0.250  0.250  0.000 x4
O  0.013  0.282  0.763 x8
O  0.234  0.500  0.218 x4
O  0.234  0.500  0.748 x4


Computed PXRD pattern of MoO3 for Cu Kα (λ = 1.5418 Å), from a GGA+U-relaxed structure.

The 10 most intense peaks (2θ from 15° to 90°), low angle first:
h k l, 2theta, d/Å, I/Imax
2 0 0, 20.13, 4.412, 82
0 1 1, 24.45, 3.641, 100
1 1 1, 28.29, 3.155, 19
2 1 -1, 28.48, 3.134, 23
1 0 -2, 33.69, 2.660, 12
2 1 1, 34.91, 2.570, 15
3 1 -1, 35.18, 2.551, 11
4 0 0, 40.91, 2.206, 13
1 2 -2, 48.97, 1.860, 19
1 2 2, 53.31, 1.719, 12

Atomic structure:
abc: 9.190 5.204 5.321
angles: 90.00 106.22 90.00
Space group Pc (No. 7)
Asymmetric unit:
Mo  0.000  0.232  0.000 x2
Mo  0.485  0.264  0.224 x2
O  0.008  0.470  0.266 x2
O  0.074  0.042  0.734 x2
O  0.295  0.328  0.134 x2
O  0.503  0.008  0.956 x2
O  0.561  0.496  0.988 x2
O  0.812  0.157  0.897 x2


Computed PXRD pattern of VCrO4 for Cu Kα (λ = 1.5418 Å), from a GGA+U-relaxed structure.

The 10 most intense peaks (2θ from 15° to 90°), low angle first:
h k l, 2theta, d/Å, I/Imax
0 1 1, 18.29, 4.850, 57
0 0 2, 22.68, 3.921, 40
2 0 0, 30.66, 2.916, 54
1 1 2, 31.07, 2.878, 48
1 2 1, 34.82, 2.576, 100
2 1 1, 35.94, 2.499, 20
1 0 3, 37.71, 2.385, 43
0 2 4, 55.54, 1.655, 15
3 2 1, 57.23, 1.610, 29
2 2 4, 64.78, 1.439, 44

Atomic structure:
abc: 5.832 6.172 7.841
angles: 90.00 90.00 90.00
Space group Imma (No. 74)
Asymmetric unit:
V  0.000  0.250  0.114 x4
Cr  0.000  0.000  0.500 x4
O  0.000  0.031  0.243 x8
O  0.228  0.250  0.502 x8


- What is the formula in the fifth record?
  MoO3


Copy entry 4 word for word.
Computed PXRD pattern of LiTiMnO4 for Cu Kα (λ = 1.5418 Å), from a GGA+U-relaxed structure.

The 10 most intense peaks (2θ from 15° to 90°), low angle first:
h k l, 2theta, d/Å, I/Imax
1 1 0, 17.98, 4.933, 90
2 0 -1, 18.23, 4.867, 100
0 2 1, 34.40, 2.607, 39
1 1 -2, 34.80, 2.578, 25
4 0 -1, 36.05, 2.491, 15
2 2 -2, 41.82, 2.160, 79
4 0 0, 44.16, 2.051, 32
1 3 -2, 55.13, 1.666, 13
4 2 -3, 55.59, 1.653, 13
6 2 -2, 62.45, 1.487, 43

Atomic structure:
abc: 10.187 6.174 6.047
angles: 90.00 126.37 90.00
Space group C2/m (No. 12)
Asymmetric unit:
Li  0.125  0.000  0.375 x4
Ti  0.000  0.500  0.000 x2
Ti  0.000  0.500  0.500 x2
Mn  0.250  0.250  0.000 x4
O  0.013  0.282  0.763 x8
O  0.234  0.500  0.218 x4
O  0.234  0.500  0.748 x4


Repeat the first record exactly.
Computed PXRD pattern of Li2Ni3SbO8 for Cu Kα (λ = 1.5418 Å), from a GGA+U-relaxed structure.

The 10 most intense peaks (2θ from 15° to 90°), low angle first:
h k l, 2theta, d/Å, I/Imax
0 1 -1, 18.42, 4.816, 100
1 -1 0, 18.52, 4.792, 50
0 1 1, 34.61, 2.591, 23
1 1 -2, 35.11, 2.556, 18
0 0 2, 36.31, 2.474, 25
0 2 -2, 37.34, 2.408, 16
0 2 0, 42.40, 2.132, 28
2 0 -2, 42.57, 2.124, 27
2 -2 2, 44.44, 2.039, 24
2 2 -2, 62.24, 1.492, 16

Atomic structure:
abc: 5.818 5.832 5.963
angles: 118.02 92.34 118.36
Space group P-1 (No. 2)
Asymmetric unit:
Li  0.125  0.259  0.383 x2
Ni  0.000  0.500  0.000 x1
Ni  0.500  0.000  0.000 x1
Ni  0.500  0.500  0.000 x1
Sb  0.500  0.000  0.500 x1
O  0.258  0.524  0.238 x2
O  0.259  0.995  0.255 x2
O  0.268  0.543  0.811 x2
O  0.284  0.016  0.760 x2